Entry 1:
For BaTb2P4, the GGA-PBE geometry in OQMD gives the computed X-ray powder pattern in this record (Cu Ka).
Lines closer than 0.1° are merged.

Top 6 peaks for 10 to 90 degrees two-theta, sorted by position:
Position (°2θ)  d/Å  I_rel
20.7  4.289  638
25.9  3.446  1000
31.0  2.889  673
32.4  2.760  331
34.7  2.582  823
47.2  1.926  505

Crystal structure
```
14
Lattice="0.000 5.521 11.577 2.918 0.000 11.577 2.918 5.521 0.000" Properties=species:S:1:pos:R:3 pbc="T T T"
Ba 0.729 1.380 2.894
Ba 5.106 9.661 20.259
Tb 2.188 4.141 5.884
Tb 2.188 4.141 11.480
Tb 3.647 6.901 11.673
Tb 3.647 6.901 17.269
P 2.653 1.974 9.749
P 1.723 1.974 7.616
P 4.112 4.735 13.404
P 2.653 6.307 7.616
P 3.182 4.735 15.537
P 1.723 6.307 9.749
P 4.112 9.067 15.537
P 3.182 9.067 13.404
```


Entry 2:
For BaTm2P2, the GGA-PBE geometry in OQMD gives the computed X-ray powder pattern in this record (Cu Ka).
Lines closer than 0.1° are merged.

Top 6 peaks for 10 to 90 degrees two-theta, sorted by position:
Position (°2θ)  d/Å  I_rel
22.3  3.979  973
24.0  3.704  748
32.5  2.753  514
33.0  2.711  546
34.1  2.630  1000
38.5  2.341  772

Crystal structure
```
20
Lattice="8.897 0.000 0.000 0.000 8.897 0.000 0.000 0.000 7.407" Properties=species:S:1:pos:R:3 pbc="T T T"
Ba 0.000 0.000 0.000
Ba 0.000 0.000 3.704
Ba 0.000 4.448 2.659
Ba 4.448 0.000 6.362
Tm 1.727 4.448 6.955
Tm 2.871 4.448 3.480
Tm 4.448 1.727 3.252
Tm 4.448 2.871 7.183
Tm 4.448 6.026 7.183
Tm 4.448 7.169 3.252
Tm 6.026 4.448 3.480
Tm 7.169 4.448 6.955
P 2.316 2.416 1.475
P 2.316 6.481 1.475
P 2.416 2.316 5.179
P 2.416 6.581 5.179
P 6.481 2.316 5.179
P 6.481 6.581 5.179
P 6.581 2.416 1.475
P 6.581 6.481 1.475
```


Entry 3:
For BaPa2Te5, the GGA-PBE geometry in OQMD gives the computed X-ray powder pattern in this record (Cu Ka).
Lines closer than 0.1° are merged.

Top 6 peaks for 10 to 90 degrees two-theta, sorted by position:
Position (°2θ)  d/Å  I_rel
11.7  7.555  357
29.7  3.006  1000
33.8  2.649  505
38.3  2.352  328
60.2  1.538  179
62.5  1.486  189

Crystal structure
```
16
Lattice="-4.188 4.188 7.555 4.188 -4.188 7.555 4.188 4.188 -7.555" Properties=species:S:1:pos:R:3 pbc="T T T"
Ba 0.000 0.000 3.777
Ba 0.000 0.000 11.332
Pa 5.438 1.250 0.000
Pa 1.250 2.937 0.000
Pa 2.937 1.250 7.555
Pa -1.250 2.937 7.555
Te 0.000 0.000 0.000
Te 2.933 1.255 -2.029
Te 2.933 -1.255 5.526
Te 2.933 1.255 2.029
Te 2.933 -1.255 9.584
Te 0.000 0.000 7.555
Te 1.255 5.443 -2.029
Te 1.255 2.933 5.526
Te 1.255 5.443 2.029
Te 1.255 2.933 9.584
```


Entry 4:
For Ba2Tl3Pd2Pb, the GGA-PBE geometry in OQMD gives the computed X-ray powder pattern in this record (Cu Ka).
Lines closer than 0.1° are merged.

Top 6 peaks for 10 to 90 degrees two-theta, sorted by position:
Position (°2θ)  d/Å  I_rel
29.6  3.022  1000
29.9  2.991  722
38.0  2.366  294
38.1  2.359  272
38.8  2.319  482
58.5  1.578  285

Crystal structure
```
8
Lattice="4.637 0.000 0.000 2.313 5.872 0.000 0.000 0.066 8.472" Properties=species:S:1:pos:R:3 pbc="T T T"
Ba 0.000 0.000 0.000
Ba 2.323 4.520 4.275
Tl 2.320 1.158 5.930
Tl 2.320 1.122 2.587
Tl 4.640 3.432 6.826
Pd 2.322 2.588 0.034
Pd 4.638 1.949 4.249
Pb 4.640 3.368 1.678
```


Entry 5:
For BaSbPt2Pb, the GGA-PBE geometry in OQMD gives the computed X-ray powder pattern in this record (Cu Ka).
Lines closer than 0.1° are merged.

Top 6 peaks for 10 to 90 degrees two-theta, sorted by position:
Position (°2θ)  d/Å  I_rel
16.2  5.467  395
30.7  2.916  1000
31.2  2.866  798
37.0  2.431  566
37.7  2.386  663
42.0  2.152  416

Crystal structure
```
10
Lattice="4.863 0.000 0.000 0.000 4.772 0.000 -0.299 0.000 10.934" Properties=species:S:1:pos:R:3 pbc="T T T"
Ba 1.111 1.193 2.636
Ba 3.453 3.579 8.298
Sb 1.169 1.193 9.694
Sb 3.395 3.579 1.241
Pt 0.636 3.579 10.912
Pt 1.071 1.193 7.035
Pt 3.493 3.579 3.900
Pt 3.928 1.193 0.023
Pb 1.057 3.579 5.460
Pb 3.507 1.193 5.475
```


Entry 6:
For Ba2TaPbS6, the GGA-PBE geometry in OQMD gives the computed X-ray powder pattern in this record (Cu Ka).
Lines closer than 0.1° are merged.

Top 6 peaks for 10 to 90 degrees two-theta, sorted by position:
Position (°2θ)  d/Å  I_rel
24.5  3.631  1000
34.9  2.567  427
43.2  2.096  456
50.3  1.815  295
56.7  1.624  215
68.4  1.372  245

Crystal structure
```
10
Lattice="0.000 5.135 5.135 5.135 0.000 5.135 5.135 5.135 0.000" Properties=species:S:1:pos:R:3 pbc="T T T"
Ba 2.567 2.567 2.567
Ba 7.702 7.702 7.702
Ta 0.000 0.000 0.000
Pb 5.135 5.135 5.135
S 5.135 5.135 2.428
S 5.135 2.428 5.135
S 7.842 5.135 5.135
S 2.428 5.135 5.135
S 5.135 7.842 5.135
S 5.135 5.135 7.842
```


Entry 7:
For Ba4Pd, the GGA-PBE geometry in OQMD gives the computed X-ray powder pattern in this record (Cu Ka).
Lines closer than 0.1° are merged.

Top 6 peaks for 10 to 90 degrees two-theta, sorted by position:
Position (°2θ)  d/Å  I_rel
24.0  3.710  828
27.8  3.213  1000
39.7  2.272  759
46.9  1.937  402
49.1  1.855  271
64.9  1.437  351

Crystal structure
```
10
Lattice="6.424 0.000 0.000 0.000 6.424 0.000 0.000 0.000 12.859" Properties=species:S:1:pos:R:3 pbc="T T T"
Ba 0.000 0.000 0.000
Ba 0.000 0.000 6.291
Ba 0.000 3.212 3.140
Ba 0.000 3.212 9.569
Ba 3.212 0.000 3.140
Ba 3.212 0.000 9.569
Ba 3.212 3.212 6.429
Ba 3.212 3.212 12.720
Pd 0.000 0.000 3.158
Pd 3.212 3.212 9.588
```


Entry 8:
For BaPmPd, the GGA-PBE geometry in OQMD gives the computed X-ray powder pattern in this record (Cu Ka).
Lines closer than 0.1° are merged.

Top 6 peaks for 10 to 90 degrees two-theta, sorted by position:
Position (°2θ)  d/Å  I_rel
20.8  4.274  193
24.0  3.701  238
34.3  2.617  1000
49.2  1.851  178
61.4  1.511  367
82.4  1.170  160

Crystal structure
```
12
Lattice="7.402 0.000 0.000 0.000 7.402 0.000 0.000 0.000 7.402" Properties=species:S:1:pos:R:3 pbc="T T T"
Ba 0.000 0.000 0.000
Ba 0.000 3.701 3.701
Ba 3.701 0.000 3.701
Ba 3.701 3.701 0.000
Pm 0.000 0.000 3.701
Pm 0.000 3.701 0.000
Pm 3.701 0.000 0.000
Pm 3.701 3.701 3.701
Pd 1.851 1.851 1.851
Pd 1.851 5.552 5.552
Pd 5.552 1.851 5.552
Pd 5.552 5.552 1.851
```


Entry 9:
For BaPdS2, the GGA-PBE geometry in OQMD gives the computed X-ray powder pattern in this record (Cu Ka).
Lines closer than 0.1° are merged.

Top 6 peaks for 10 to 90 degrees two-theta, sorted by position:
Position (°2θ)  d/Å  I_rel
21.2  4.185  760
21.7  4.102  337
30.5  2.930  382
30.8  2.903  785
37.7  2.385  1000
54.0  1.698  311

Crystal structure
```
16
Lattice="8.371 0.000 0.000 0.000 4.385 0.000 0.000 0.000 11.617" Properties=species:S:1:pos:R:3 pbc="T T T"
Ba 2.093 0.012 0.000
Ba 2.093 2.204 5.808
Ba 6.278 2.180 5.808
Ba 6.278 4.373 0.000
Pd 2.093 0.020 8.267
Pd 2.093 2.212 2.458
Pd 6.278 2.172 2.458
Pd 6.278 4.365 8.267
S 0.000 0.000 7.044
S 0.000 2.192 1.236
S 2.093 0.020 3.356
S 2.093 2.212 9.164
S 4.185 0.000 7.044
S 4.185 2.192 1.236
S 6.278 2.173 9.164
S 6.278 4.365 3.356
```


Entry 10:
For BaPd3Se4, the GGA-PBE geometry in OQMD gives the computed X-ray powder pattern in this record (Cu Ka).
Lines closer than 0.1° are merged.

Top 6 peaks for 10 to 90 degrees two-theta, sorted by position:
Position (°2θ)  d/Å  I_rel
27.7  3.218  1000
30.4  2.938  957
35.3  2.544  651
43.6  2.077  535
47.3  1.923  554
50.7  1.799  584

Crystal structure
```
16
Lattice="7.196 0.000 0.000 0.000 7.196 0.000 0.000 0.000 7.196" Properties=species:S:1:pos:R:3 pbc="T T T"
Ba 0.000 0.000 0.000
Ba 3.598 3.598 3.598
Pd 0.000 1.799 3.598
Pd 0.000 5.397 3.598
Pd 1.799 3.598 0.000
Pd 3.598 0.000 1.799
Pd 3.598 0.000 5.397
Pd 5.397 3.598 0.000
Se 1.799 1.799 1.799
Se 1.799 1.799 5.397
Se 1.799 5.397 1.799
Se 1.799 5.397 5.397
Se 5.397 1.799 1.799
Se 5.397 1.799 5.397
Se 5.397 5.397 1.799
Se 5.397 5.397 5.397
```


Entry 11:
For BaSi2SnPd, the GGA-PBE geometry in OQMD gives the computed X-ray powder pattern in this record (Cu Ka).
Lines closer than 0.1° are merged.

Top 6 peaks for 10 to 90 degrees two-theta, sorted by position:
Position (°2θ)  d/Å  I_rel
27.2  3.273  735
31.9  2.808  1000
32.1  2.785  322
38.9  2.314  544
47.2  1.927  213
51.1  1.786  526

Crystal structure
```
10
Lattice="4.629 0.000 0.000 0.000 4.629 0.000 0.000 0.000 10.599" Properties=species:S:1:pos:R:3 pbc="T T T"
Ba 0.000 0.000 0.000
Ba 2.314 2.314 5.300
Si 0.000 2.314 2.573
Si 0.000 2.314 7.873
Si 2.314 0.000 2.573
Si 2.314 0.000 7.873
Sn 0.000 0.000 4.143
Sn 2.314 2.314 9.442
Pd 0.000 0.000 6.938
Pd 2.314 2.314 1.639
```


Entry 12:
For BaSrSn2Pd4, the GGA-PBE geometry in OQMD gives the computed X-ray powder pattern in this record (Cu Ka).
Lines closer than 0.1° are merged.

Top 6 peaks for 10 to 90 degrees two-theta, sorted by position:
Position (°2θ)  d/Å  I_rel
16.7  5.318  452
33.7  2.660  1000
38.8  2.323  931
42.5  2.129  254
52.3  1.750  577
66.9  1.398  211

Crystal structure
```
8
Lattice="4.646 0.000 0.000 -2.323 4.024 0.000 0.000 0.000 10.636" Properties=species:S:1:pos:R:3 pbc="T T T"
Ba 0.000 0.000 0.000
Sr 2.323 1.341 5.318
Sn 0.000 2.683 2.751
Sn 0.000 2.683 7.885
Pd 0.000 0.000 3.279
Pd 0.000 0.000 7.358
Pd 2.323 1.341 2.246
Pd 2.323 1.341 8.391
```


Entry 13:
For BaSrPd3, the GGA-PBE geometry in OQMD gives the computed X-ray powder pattern in this record (Cu Ka).
Lines closer than 0.1° are merged.

Top 6 peaks for 10 to 90 degrees two-theta, sorted by position:
Position (°2θ)  d/Å  I_rel
10.5  8.418  1000
25.0  3.560  144
31.1  2.872  515
39.5  2.283  425
39.7  2.268  524
41.2  2.190  213

Crystal structure
```
5
Lattice="4.536 0.000 0.000 -2.268 3.928 0.000 0.000 0.000 8.418" Properties=species:S:1:pos:R:3 pbc="T T T"
Ba 0.000 0.000 0.000
Sr 2.268 1.309 3.686
Pd 0.000 0.000 5.340
Pd 0.000 2.619 5.945
Pd 2.268 1.309 6.618
```


Entry 14:
For BaTaPd, the GGA-PBE geometry in OQMD gives the computed X-ray powder pattern in this record (Cu Ka).
Lines closer than 0.1° are merged.

Top 6 peaks for 10 to 90 degrees two-theta, sorted by position:
Position (°2θ)  d/Å  I_rel
21.9  4.055  194
25.4  3.511  289
36.2  2.483  1000
52.1  1.756  176
65.1  1.434  360
87.9  1.110  164

Crystal structure
```
12
Lattice="7.023 0.000 0.000 0.000 7.023 0.000 0.000 0.000 7.023" Properties=species:S:1:pos:R:3 pbc="T T T"
Ba 0.000 0.000 0.000
Ba 0.000 3.511 3.511
Ba 3.511 0.000 3.511
Ba 3.511 3.511 0.000
Ta 0.000 0.000 3.511
Ta 0.000 3.511 0.000
Ta 3.511 0.000 0.000
Ta 3.511 3.511 3.511
Pd 1.756 1.756 1.756
Pd 1.756 5.267 5.267
Pd 5.267 1.756 5.267
Pd 5.267 5.267 1.756
```